The following is a calculated XRD peak list of Lu2MgS4. It was derived from DFT lattice parameters and positions (GGA-PBE), using λ = 1.5418 Å (Cu Kα).
Lines closer than 0.1° are merged.

Crystal structure
Lattice parameters (Å, degrees): 7.0923 8.1938 12.9139 99.24 95.40 90.01
Space group P-1 (No. 2)
One atom of each set of equivalent atoms:
Lu 0.1320 0.4456 0.3021 [2 per cell]
Lu 0.1325 0.9555 0.3048 [2 per cell]
Lu 0.2581 0.1264 0.0004 [2 per cell]
Lu 0.3638 0.2998 0.6967 [2 per cell]
Mg 0.2509 0.6236 0.9973 [2 per cell]
Mg 0.3668 0.7999 0.7002 [2 per cell]
S 0.0992 0.4039 0.1034 [2 per cell]
S 0.1020 0.9000 0.1053 [2 per cell]
S 0.1919 0.5392 0.6278 [2 per cell]
S 0.1930 0.0246 0.6272 [2 per cell]
S 0.3105 0.7183 0.3748 [2 per cell]
S 0.3232 0.2186 0.3732 [2 per cell]
S 0.3955 0.8464 0.8924 [2 per cell]
S 0.4019 0.3514 0.8954 [2 per cell]

Top 8 peaks for 10 to 80 degrees two-theta, by intensity:
| two_theta | I/Imax |
| --- | --- |
| 26.82 | 100 |
| 21.01 | 84 |
| 44.23 | 72 |
| 25.55 | 64 |
| 31.46 | 61 |
| 13.93 | 38 |
| 39.96 | 35 |
| 48.02 | 33 |